For Ba3NdTm3Te8, DFT lattice parameters and positions (PBE) gives the simulated powder X-ray diffraction pattern in this record (Cu Kα (weighted mean of Kα1 and Kα2)).

Peak list (10 most intense, 2θ = 10–90°, sorted by position)
| 2θ/deg | I (rel.) | hkl |
| --- | --- | --- |
| 11.15 | 14 | 0 0 3 |
| 27.41 | 100 | 0 2 4 |
| 38.08 | 37 | 2 0 8 |
| 40.20 | 37 | 2 2 0 |
| 49.34 | 19 | 4 0 4 |
| 56.57 | 11 | 0 4 8 |
| 62.48 | 14 | 2 2 12 |
| 65.45 | 16 | 2 4 4 |
| 71.65 | 12 | 4 2 8 |
| 73.04 | 10 | 6 0 0 |

Structure:
```
data_Ba3NdTm3Te8
_chemical_formula_sum 'Ba9 Nd3 Tm9 Te24'
_cell_length_a 8.9738
_cell_length_b 8.9738
_cell_length_c 23.8137
_cell_angle_alpha 90.00
_cell_angle_beta 90.00
_cell_angle_gamma 120.00
_space_group_name_H-M_alt 'R -3 m'
_space_group_IT_number 166
_space_group_name_Hall '-R 3 2"'
loop_
_atom_site_label
_atom_site_type_symbol
_atom_site_fract_x
_atom_site_fract_y
_atom_site_fract_z
Ba1 Ba 0.0000 0.5000 0.0000
Nd1 Nd 0.0000 0.0000 0.5000
Tm1 Tm 0.0000 0.5000 0.5000
Te1 Te 0.0000 0.0000 0.2373
Te2 Te 0.0155 0.5078 0.7604
```